Structure and simulated X-ray diffraction stick pattern of La6HoMg2 (a DFT-relaxed cell (GGA-PBE, Alexandria); Cu Ka).

Main lines, low angle first (2θ = 10–90°):
2θ = 19.15°, I = 26
2θ = 28.75°, I = 24
2θ = 30.00°, I = 62
2θ = 30.15°, I = 63
2θ = 30.48°, I = 100
2θ = 34.91°, I = 43
2θ = 35.20°, I = 70
2θ = 59.53°, I = 25

Crystal structure
a = 6.211 Å, b = 6.211 Å, c = 8.936 Å
α = 90.00°, β = 90.00°, γ = 119.21°
Fractional coordinates of all 9 atoms:
La 0.175 0.343 0.664
La 0.177 0.823 0.000
La 0.343 0.175 0.336
La 0.657 0.825 0.336
La 0.823 0.177 0.000
La 0.825 0.657 0.664
Ho 0.500 0.500 0.000
Mg 0.000 0.500 0.330
Mg 0.500 0.000 0.670

---

Structure and simulated X-ray diffraction stick pattern of La3HoMg2 (a DFT-relaxed cell (GGA-PBE, Alexandria); Cu Ka).

Main lines, low angle first (2θ = 10–90°):
2θ = 22.79°, I = 11
2θ = 23.85°, I = 14
2θ = 26.79°, I = 15
2θ = 31.13°, I = 100
2θ = 32.44°, I = 47
2θ = 46.54°, I = 17
2θ = 54.53°, I = 21
2θ = 57.05°, I = 36

Crystal structure
a = 3.903 Å, b = 3.903 Å, c = 12.739 Å
α = 90.00°, β = 90.00°, γ = 90.00°
Fractional coordinates of all 6 atoms:
La 0.000 0.000 0.000
La 0.000 0.000 0.314
La 0.000 0.000 0.686
Ho 0.500 0.500 0.500
Mg 0.500 0.500 0.158
Mg 0.500 0.500 0.842

---

Structure and simulated X-ray diffraction stick pattern of La2PmHo2Mg5 (a DFT-relaxed cell (GGA-PBE, Alexandria); Cu Ka).

Main lines, low angle first (2θ = 10–90°):
2θ = 17.23°, I = 89
2θ = 26.36°, I = 45
2θ = 29.32°, I = 19
2θ = 31.67°, I = 100
2θ = 34.59°, I = 19
2θ = 34.90°, I = 71
2θ = 44.24°, I = 22
2θ = 46.77°, I = 16

Crystal structure
a = 10.690 Å, b = 10.690 Å, c = 5.146 Å
α = 90.00°, β = 90.00°, γ = 90.00°
Fractional coordinates of all 20 atoms:
La 0.176 0.324 0.000
La 0.324 0.824 0.000
La 0.676 0.176 0.000
La 0.824 0.676 0.000
Pm 0.000 0.000 0.000
Pm 0.500 0.500 0.000
Ho 0.120 0.620 0.000
Ho 0.380 0.120 0.000
Ho 0.620 0.880 0.000
Ho 0.880 0.380 0.000
Mg 0.000 0.500 0.500
Mg 0.073 0.800 0.500
Mg 0.200 0.073 0.500
Mg 0.300 0.573 0.500
Mg 0.427 0.300 0.500
Mg 0.500 0.000 0.500
Mg 0.573 0.700 0.500
Mg 0.700 0.427 0.500
Mg 0.800 0.927 0.500
Mg 0.927 0.200 0.500

---

Structure and simulated X-ray diffraction stick pattern of La4Pm2HoMg (a DFT-relaxed cell (GGA-PBE, Alexandria); Cu Ka).

Main lines, low angle first (2θ = 10–90°):
2θ = 30.13°, I = 100
2θ = 34.79°, I = 34
2θ = 35.22°, I = 16
2θ = 50.01°, I = 12
2θ = 50.34°, I = 24
2θ = 59.50°, I = 29
2θ = 60.09°, I = 14
2θ = 62.65°, I = 12

Crystal structure
a = 5.158 Å, b = 5.158 Å, c = 10.191 Å
α = 90.00°, β = 90.00°, γ = 90.00°
Fractional coordinates of all 8 atoms:
La 0.000 0.500 0.247
La 0.000 0.500 0.753
La 0.500 0.000 0.247
La 0.500 0.000 0.753
Pm 0.000 0.000 0.000
Pm 0.500 0.500 0.500
Ho 0.000 0.000 0.500
Mg 0.500 0.500 0.000